Structure and simulated X-ray powder pattern of CaNdV4O12 (DFT lattice parameters and positions (GGA+U); CuKα).

Peak list (10 most intense, 10 to 90 degrees two-theta, in order of rising 2θ)
hkl 1 0 0, 12.54°, rel. 208; hkl 0 1 1, 15.53°, rel. 239; hkl 1 1 1, 20.01°, rel. 1000; hkl 0 2 2, 31.36°, rel. 514; hkl 2 0 2, 32.00°, rel. 528; hkl 1 1 3, 34.25°, rel. 218; hkl 2 2 0, 35.42°, rel. 333; hkl 0 0 4, 39.29°, rel. 213; hkl 2 2 4, 53.92°, rel. 238; hkl 2 4 2, 60.68°, rel. 182

Structure:
abc: 7.058 7.285 9.172
angles: 90.00 90.00 90.00
Space group Amm2 (No. 38)
One atom of each set of equivalent atoms:
Ca 0.000 0.000 0.000 x2
Nd 0.500 0.000 0.504 x2
V 0.250 0.245 0.253 x8
O 0.000 0.207 0.807 x4
O 0.224 0.000 0.325 x4
O 0.253 0.205 0.071 x8
O 0.294 0.000 0.737 x4
O 0.500 0.226 0.325 x4